1.
Rb2Lu4Cu4Se9: simulated X-ray diffraction stick pattern (Cu Kα, 1.54184 Å), based on the GGA-PBE geometry in OQMD.
Kinematic intensities with the Lorentz-polarization factor, no thermal factor.

Structure:
Cell lengths 7.4798, 7.4798, 16.4250 Å; angles 108.40, 108.40, 31.63 degrees
Fractional coordinates of all 19 atoms:
Rb (0.0312, 0.0312, 0.2717)
Rb (0.9688, 0.9688, 0.7283)
Lu (0.2304, 0.2304, 0.1028)
Lu (0.3455, 0.3455, 0.4438)
Lu (0.6545, 0.6545, 0.5562)
Lu (0.7696, 0.7696, 0.8972)
Cu (0.2474, 0.2474, 0.7309)
Cu (0.4277, 0.4277, 0.0339)
Cu (0.5723, 0.5723, 0.9661)
Cu (0.7526, 0.7526, 0.2691)
Se (0.0000, 0.0000, 0.5000)
Se (0.1415, 0.1415, 0.9237)
Se (0.2955, 0.2955, 0.5987)
Se (0.3476, 0.3476, 0.2761)
Se (0.3922, 0.3922, 0.8736)
Se (0.6078, 0.6078, 0.1264)
Se (0.6524, 0.6524, 0.7239)
Se (0.7045, 0.7045, 0.4013)
Se (0.8585, 0.8585, 0.0763)

Largest 8 diffraction maxima, by angle, 10° ≤ 2θ ≤ 90°:
two_theta	I_rel
13.02	1000
28.74	703
29.19	757
29.47	512
30.75	463
31.28	774
44.44	779
45.07	501

---

2.
RbLu2CuTe3Se: simulated X-ray diffraction stick pattern (Cu Kα, 1.54184 Å), based on the GGA-PBE geometry in OQMD.
Kinematic intensities with the Lorentz-polarization factor, no thermal factor.

Structure:
Cell lengths 7.7676, 7.7676, 14.9658 Å; angles 90.00, 90.00, 148.01 degrees
Fractional coordinates of all 16 atoms:
Rb (0.1002, 0.8998, 0.7500)
Rb (0.8998, 0.1002, 0.2500)
Lu (0.3670, 0.6330, 0.5735)
Lu (0.3670, 0.6330, 0.9265)
Lu (0.6330, 0.3670, 0.0735)
Lu (0.6330, 0.3670, 0.4265)
Cu (0.1596, 0.8404, 0.2500)
Cu (0.8404, 0.1596, 0.7500)
Te (0.0000, 0.0000, 0.0000)
Te (0.0000, 0.0000, 0.5000)
Te (0.2674, 0.7326, 0.1100)
Te (0.2674, 0.7326, 0.3900)
Te (0.7326, 0.2674, 0.6100)
Te (0.7326, 0.2674, 0.8900)
Se (0.4274, 0.5726, 0.7500)
Se (0.5726, 0.4274, 0.2500)

Largest 8 diffraction maxima, by angle, 10° ≤ 2θ ≤ 90°:
two_theta	I_rel
13.25	495
21.42	381
26.65	647
27.48	469
28.13	1000
30.01	962
41.05	979
42.23	489

---

3.
LuScZnCu: simulated X-ray diffraction stick pattern (Cu Kα, 1.54184 Å), based on the GGA-PBE geometry in OQMD.
Kinematic intensities with the Lorentz-polarization factor, no thermal factor.

Structure:
Cell lengths 6.6569, 6.6569, 6.6569 Å; angles 90.00, 90.00, 90.00 degrees
Fractional coordinates of all 16 atoms:
Lu (0.0000, 0.0000, 0.0000)
Lu (0.0000, 0.5000, 0.5000)
Lu (0.5000, 0.0000, 0.5000)
Lu (0.5000, 0.5000, 0.0000)
Sc (0.2500, 0.2500, 0.2500)
Sc (0.2500, 0.7500, 0.7500)
Sc (0.7500, 0.2500, 0.7500)
Sc (0.7500, 0.7500, 0.2500)
Zn (0.0000, 0.0000, 0.5000)
Zn (0.0000, 0.5000, 0.0000)
Zn (0.5000, 0.0000, 0.0000)
Zn (0.5000, 0.5000, 0.5000)
Cu (0.2500, 0.2500, 0.7500)
Cu (0.2500, 0.7500, 0.2500)
Cu (0.7500, 0.2500, 0.2500)
Cu (0.7500, 0.7500, 0.7500)

Largest 8 diffraction maxima, by angle, 10° ≤ 2θ ≤ 90°:
two_theta	I_rel
23.14	203
26.78	165
38.24	1000
45.17	109
55.19	167
62.38	69
69.13	331
81.86	103

---

4.
YLu2Cu4Si4: simulated X-ray diffraction stick pattern (Cu Kα, 1.54184 Å), based on the GGA-PBE geometry in OQMD.
Kinematic intensities with the Lorentz-polarization factor, no thermal factor.

Structure:
Cell lengths 7.7668, 7.7668, 7.7668 Å; angles 149.65, 130.44, 59.23 degrees
Fractional coordinates of all 11 atoms:
Y (0.0000, 0.0000, 0.0000)
Lu (0.3715, 0.8715, 0.5000)
Lu (0.6285, 0.1285, 0.5000)
Cu (0.0228, 0.3300, 0.6927)
Cu (0.3627, 0.6700, 0.6927)
Cu (0.6373, 0.3300, 0.3073)
Cu (0.9772, 0.6700, 0.3073)
Si (0.2171, 0.2171, 0.0000)
Si (0.3161, 0.5000, 0.8161)
Si (0.6839, 0.5000, 0.1839)
Si (0.7829, 0.7829, 0.0000)

Largest 8 diffraction maxima, by angle, 10° ≤ 2θ ≤ 90°:
two_theta	I_rel
25.83	277
35.97	1000
37.27	856
40.07	228
40.77	319
44.56	302
46.45	296
66.35	274

---

5.
Lu6CuTe2: simulated X-ray diffraction stick pattern (Cu Kα, 1.54184 Å), based on the GGA-PBE geometry in OQMD.
Kinematic intensities with the Lorentz-polarization factor, no thermal factor.

Structure:
Cell lengths 21.1052, 3.9413, 11.3032 Å; angles 90.00, 90.00, 90.00 degrees
Fractional coordinates of all 36 atoms:
Lu (0.0063, 0.2500, 0.1123)
Lu (0.0242, 0.7500, 0.3807)
Lu (0.1086, 0.2500, 0.8085)
Lu (0.1407, 0.7500, 0.0594)
Lu (0.1541, 0.2500, 0.5298)
Lu (0.2322, 0.7500, 0.7367)
Lu (0.2678, 0.2500, 0.2367)
Lu (0.3459, 0.7500, 0.0298)
Lu (0.3593, 0.2500, 0.5594)
Lu (0.3914, 0.7500, 0.3085)
Lu (0.4758, 0.2500, 0.8807)
Lu (0.4937, 0.7500, 0.6123)
Lu (0.5063, 0.2500, 0.3877)
Lu (0.5242, 0.7500, 0.1193)
Lu (0.6086, 0.2500, 0.6915)
Lu (0.6407, 0.7500, 0.4406)
Lu (0.6541, 0.2500, 0.9702)
Lu (0.7322, 0.7500, 0.7633)
Lu (0.7678, 0.2500, 0.2633)
Lu (0.8459, 0.7500, 0.4702)
Lu (0.8593, 0.2500, 0.9406)
Lu (0.8914, 0.7500, 0.1915)
Lu (0.9758, 0.2500, 0.6193)
Lu (0.9937, 0.7500, 0.8877)
Cu (0.0764, 0.7500, 0.6353)
Cu (0.4236, 0.2500, 0.1353)
Cu (0.5764, 0.7500, 0.8647)
Cu (0.9236, 0.2500, 0.3647)
Te (0.1257, 0.2500, 0.2674)
Te (0.2386, 0.2500, 0.9543)
Te (0.2614, 0.7500, 0.4543)
Te (0.3743, 0.7500, 0.7674)
Te (0.6257, 0.2500, 0.2326)
Te (0.7386, 0.2500, 0.5457)
Te (0.7614, 0.7500, 0.0457)
Te (0.8743, 0.7500, 0.7326)

Largest 8 diffraction maxima, by angle, 10° ≤ 2θ ≤ 90°:
two_theta	I_rel
30.43	692
32.06	1000
32.84	870
33.99	726
34.18	409
34.95	818
37.80	310
46.06	495

---

6.
Tm2Lu5Cu2Te2: simulated X-ray diffraction stick pattern (Cu Kα, 1.54184 Å), based on the GGA-PBE geometry in OQMD.
Kinematic intensities with the Lorentz-polarization factor, no thermal factor.

Structure:
Cell lengths 9.1500, 9.1500, 9.1500 Å; angles 155.38, 68.09, 117.65 degrees
Fractional coordinates of all 11 atoms:
Tm (0.1318, 0.0000, 0.1318)
Tm (0.8682, 0.0000, 0.8682)
Lu (0.1101, 0.7949, 0.3152)
Lu (0.4175, 0.4175, 0.0000)
Lu (0.4798, 0.7949, 0.6848)
Lu (0.5059, 0.1502, 0.3557)
Lu (0.7945, 0.1502, 0.6443)
Cu (0.2533, 0.4881, 0.7653)
Cu (0.7228, 0.4881, 0.2347)
Te (0.1517, 0.6517, 0.5000)
Te (0.7548, 0.7548, 0.0000)

Largest 8 diffraction maxima, by angle, 10° ≤ 2θ ≤ 90°:
two_theta	I_rel
28.90	395
30.25	666
33.46	749
34.32	1000
34.67	528
46.56	308
51.98	331
58.53	357

---

7.
YTm4Lu2Cu2Te2: simulated X-ray diffraction stick pattern (Cu Kα, 1.54184 Å), based on the GGA-PBE geometry in OQMD.
Kinematic intensities with the Lorentz-polarization factor, no thermal factor.

Structure:
Cell lengths 9.1836, 9.1836, 9.1836 Å; angles 155.35, 67.73, 118.04 degrees
Fractional coordinates of all 11 atoms:
Y (0.0000, 0.0000, 0.0000)
Tm (0.2837, 0.4144, 0.8693)
Tm (0.5452, 0.4144, 0.1307)
Tm (0.6162, 0.2616, 0.3546)
Tm (0.9070, 0.2616, 0.6454)
Lu (0.3053, 0.6195, 0.6858)
Lu (0.9337, 0.6195, 0.3142)
Cu (0.1639, 0.9272, 0.2367)
Cu (0.6905, 0.9272, 0.7633)
Te (0.2646, 0.7646, 0.5000)
Te (0.6616, 0.6616, 0.0000)

Largest 8 diffraction maxima, by angle, 10° ≤ 2θ ≤ 90°:
two_theta	I_rel
24.58	244
30.18	551
33.45	743
34.15	1000
34.56	657
46.32	310
51.74	291
58.33	305

---

8.
Mg4Cu3: simulated X-ray diffraction stick pattern (Cu Kα, 1.54184 Å), based on the GGA-PBE geometry in OQMD.
Kinematic intensities with the Lorentz-polarization factor, no thermal factor.

Structure:
Cell lengths 7.6153, 7.6153, 4.5625 Å; angles 90.00, 90.00, 120.00 degrees
Fractional coordinates of all 14 atoms:
Mg (0.0245, 0.2495, 0.2500)
Mg (0.2250, 0.9755, 0.2500)
Mg (0.2495, 0.2250, 0.7500)
Mg (0.3333, 0.6667, 0.2500)
Mg (0.6667, 0.3333, 0.7500)
Mg (0.7505, 0.7750, 0.2500)
Mg (0.7750, 0.0245, 0.7500)
Mg (0.9755, 0.7505, 0.7500)
Cu (0.0984, 0.4844, 0.7500)
Cu (0.3860, 0.9016, 0.7500)
Cu (0.4844, 0.3860, 0.2500)
Cu (0.5156, 0.6140, 0.7500)
Cu (0.6140, 0.0984, 0.2500)
Cu (0.9016, 0.5156, 0.2500)

Largest 8 diffraction maxima, by angle, 10° ≤ 2θ ≤ 90°:
two_theta	I_rel
13.43	261
23.71	176
36.03	273
39.50	265
41.27	1000
54.53	155
72.85	165
78.60	158

---

9.
Mg3CuN: simulated X-ray diffraction stick pattern (Cu Kα, 1.54184 Å), based on the GGA-PBE geometry in OQMD.
Kinematic intensities with the Lorentz-polarization factor, no thermal factor.

Structure:
Cell lengths 4.2098, 4.2098, 4.2098 Å; angles 90.00, 90.00, 90.00 degrees
Fractional coordinates of all 5 atoms:
Mg (0.0000, 0.0000, 0.5000)
Mg (0.0000, 0.5000, 0.0000)
Mg (0.5000, 0.0000, 0.0000)
Cu (0.5000, 0.5000, 0.5000)
N (0.0000, 0.0000, 0.0000)

Largest 8 diffraction maxima, by angle, 10° ≤ 2θ ≤ 90°:
two_theta	I_rel
21.10	136
30.02	498
36.98	1000
42.97	690
53.30	167
62.39	415
74.80	351
78.74	131

---

10.
MgCuOs2: simulated X-ray diffraction stick pattern (Cu Kα, 1.54184 Å), based on the GGA-PBE geometry in OQMD.
Kinematic intensities with the Lorentz-polarization factor, no thermal factor.

Structure:
Cell lengths 6.0893, 6.0893, 6.0893 Å; angles 90.00, 90.00, 90.00 degrees
Fractional coordinates of all 16 atoms:
Mg (0.0000, 0.0000, 0.0000)
Mg (0.0000, 0.5000, 0.5000)
Mg (0.5000, 0.0000, 0.5000)
Mg (0.5000, 0.5000, 0.0000)
Cu (0.2500, 0.2500, 0.2500)
Cu (0.2500, 0.7500, 0.7500)
Cu (0.7500, 0.2500, 0.7500)
Cu (0.7500, 0.7500, 0.2500)
Os (0.0000, 0.0000, 0.5000)
Os (0.0000, 0.5000, 0.0000)
Os (0.2500, 0.2500, 0.7500)
Os (0.2500, 0.7500, 0.2500)
Os (0.5000, 0.0000, 0.0000)
Os (0.5000, 0.5000, 0.5000)
Os (0.7500, 0.2500, 0.2500)
Os (0.7500, 0.7500, 0.7500)

Largest 8 diffraction maxima, by angle, 10° ≤ 2θ ≤ 90°:
two_theta	I_rel
25.33	448
29.33	12
41.97	1000
49.66	228
60.85	166
66.99	96
76.66	338
82.27	75

---

11.
Mg3Zn2Cu2P4: simulated X-ray diffraction stick pattern (Cu Kα, 1.54184 Å), based on the GGA-PBE geometry in OQMD.
Kinematic intensities with the Lorentz-polarization factor, no thermal factor.

Structure:
Cell lengths 3.9334, 3.9334, 13.5377 Å; angles 90.00, 90.00, 120.00 degrees
Fractional coordinates of all 11 atoms:
Mg (0.0000, 0.0000, 0.0000)
Mg (0.0000, 0.0000, 0.2589)
Mg (0.0000, 0.0000, 0.7411)
Zn (0.3333, 0.6667, 0.5639)
Zn (0.6667, 0.3333, 0.4361)
Cu (0.3333, 0.6667, 0.1349)
Cu (0.6667, 0.3333, 0.8651)
P (0.3333, 0.6667, 0.3755)
P (0.3333, 0.6667, 0.8705)
P (0.6667, 0.3333, 0.1295)
P (0.6667, 0.3333, 0.6245)

Largest 8 diffraction maxima, by angle, 10° ≤ 2θ ≤ 90°:
two_theta	I_rel
19.67	254
26.16	338
29.35	446
32.94	375
37.46	848
42.66	509
46.16	1000
67.98	258

---

12.
PrMgCuSe2S: simulated X-ray diffraction stick pattern (Cu Kα, 1.54184 Å), based on the GGA-PBE geometry in OQMD.
Kinematic intensities with the Lorentz-polarization factor, no thermal factor.

Structure:
Cell lengths 6.5942, 6.5942, 10.8525 Å; angles 90.00, 90.00, 145.71 degrees
Fractional coordinates of all 12 atoms:
Pr (0.0000, 0.0000, 0.0000)
Pr (0.0000, 0.0000, 0.5000)
Mg (0.2487, 0.7513, 0.7500)
Mg (0.7513, 0.2487, 0.2500)
Cu (0.4826, 0.5174, 0.2500)
Cu (0.5174, 0.4826, 0.7500)
Se (0.3436, 0.6564, 0.0897)
Se (0.3436, 0.6564, 0.4103)
Se (0.6564, 0.3436, 0.5897)
Se (0.6564, 0.3436, 0.9103)
S (0.0939, 0.9061, 0.2500)
S (0.9061, 0.0939, 0.7500)

Largest 8 diffraction maxima, by angle, 10° ≤ 2θ ≤ 90°:
two_theta	I_rel
14.05	541
16.30	295
28.45	302
29.13	446
31.35	448
35.55	1000
36.04	335
46.06	284